Entry 1:
For Cs3RbAs2Pd2, a DFT-relaxed cell (GGA-PBE, OQMD) gives the computed XRD peak list in this record (copper Kα).

Structural model:
```
data_Cs3RbAs2Pd2
_chemical_formula_sum 'Cs3 Rb1 As2 Pd2'
_cell_length_a 6.767
_cell_length_b 6.130
_cell_length_c 6.832
_cell_angle_alpha 90.00
_cell_angle_beta 106.92
_cell_angle_gamma 90.00
_space_group_name_H-M_alt 'P 1 m 1'
_space_group_IT_number 6
loop_
_space_group_symop_operation_xyz
'x,y,z'
'x,-y,z'
loop_
_atom_site_label
_atom_site_type_symbol
_atom_site_fract_x
_atom_site_fract_y
_atom_site_fract_z
Cs1 Cs 0.000 0.000 0.000
Cs2 Cs 0.297 0.500 0.309
Cs3 Cs 0.657 0.000 0.344
Rb1 Rb 0.959 0.500 0.651
As1 As 0.238 0.000 0.587
As2 As 0.717 0.500 0.058
Pd1 Pd 0.466 0.253 0.830
```

Largest 6 diffraction maxima, by angle, 2θ from 10° to 90°:
(hkl), two_theta, d [Å], Rel. int.
1 1 1, 26.38, 3.378, 100
1 0 -2, 26.74, 3.334, 53
2 0 -1, 26.94, 3.309, 56
1 1 -2, 30.52, 2.929, 92
2 1 -1, 30.70, 2.912, 85
0 2 1, 32.28, 2.773, 60

---

Entry 2:
For K3Ir, a DFT-relaxed cell (GGA-PBE, OQMD) gives the computed XRD peak list in this record (copper Kα).

Structural model:
```
data_K3Ir
_chemical_formula_sum 'K18 Ir6'
_cell_length_a 9.7105
_cell_length_b 9.7105
_cell_length_c 10.0753
_cell_angle_alpha 90.00
_cell_angle_beta 90.00
_cell_angle_gamma 120.00
_space_group_name_H-M_alt 'P 63 c m'
_space_group_IT_number 185
_space_group_name_Hall 'P 6c -2'
loop_
_atom_site_label
_atom_site_type_symbol
_atom_site_fract_x
_atom_site_fract_y
_atom_site_fract_z
K1 K 0.0000 0.0000 0.0000
K2 K 0.0000 0.2863 0.7697
K3 K 0.0000 0.3752 0.1080
K4 K 0.3333 0.6667 0.4028
Ir1 Ir 0.0000 0.3270 0.4383
```

Largest 6 diffraction maxima, by angle, 2θ from 10° to 90°:
(hkl), two_theta, d [Å], Rel. int.
0 0 2, 17.61, 5.038, 44
1 1 0, 18.27, 4.855, 31
1 1 1, 20.30, 4.374, 100
3 0 0, 31.93, 2.803, 84
1 1 3, 32.41, 2.762, 98
3 0 2, 36.69, 2.449, 48

---

Entry 3:
For HoInFeSe3, a DFT-relaxed cell (GGA-PBE, OQMD) gives the computed XRD peak list in this record (copper Kα).

Structural model:
```
data_HoInFeSe3
_chemical_formula_sum 'Ho4 In4 Fe4 Se12'
_cell_length_a 4.063
_cell_length_b 14.692
_cell_length_c 10.671
_cell_angle_alpha 90.00
_cell_angle_beta 90.00
_cell_angle_gamma 90.00
_space_group_name_H-M_alt 'C m c m'
_space_group_IT_number 63
_space_group_name_Hall '-C 2c 2'
loop_
_atom_site_label
_atom_site_type_symbol
_atom_site_fract_x
_atom_site_fract_y
_atom_site_fract_z
Ho1 Ho 0.000 0.000 0.000
In1 In 0.000 0.245 0.250
Fe1 Fe 0.000 0.473 0.750
Se1 Se 0.000 0.071 0.750
Se2 Se 0.000 0.373 0.569
```

Largest 6 diffraction maxima, by angle, 2θ from 10° to 90°:
(hkl), two_theta, d [Å], Rel. int.
0 2 0, 12.05, 7.346, 64
0 2 2, 20.57, 4.317, 49
1 3 0, 28.54, 3.127, 42
1 3 1, 29.77, 3.001, 100
1 3 2, 33.21, 2.698, 83
1 5 2, 41.53, 2.174, 49

---

Copy entry 2 word for word.
For K3Ir, a DFT-relaxed cell (GGA-PBE, OQMD) gives the computed XRD peak list in this record (copper Kα).

Structural model:
```
data_K3Ir
_chemical_formula_sum 'K18 Ir6'
_cell_length_a 9.7105
_cell_length_b 9.7105
_cell_length_c 10.0753
_cell_angle_alpha 90.00
_cell_angle_beta 90.00
_cell_angle_gamma 120.00
_space_group_name_H-M_alt 'P 63 c m'
_space_group_IT_number 185
_space_group_name_Hall 'P 6c -2'
loop_
_atom_site_label
_atom_site_type_symbol
_atom_site_fract_x
_atom_site_fract_y
_atom_site_fract_z
K1 K 0.0000 0.0000 0.0000
K2 K 0.0000 0.2863 0.7697
K3 K 0.0000 0.3752 0.1080
K4 K 0.3333 0.6667 0.4028
Ir1 Ir 0.0000 0.3270 0.4383
```

Largest 6 diffraction maxima, by angle, 2θ from 10° to 90°:
(hkl), two_theta, d [Å], Rel. int.
0 0 2, 17.61, 5.038, 44
1 1 0, 18.27, 4.855, 31
1 1 1, 20.30, 4.374, 100
3 0 0, 31.93, 2.803, 84
1 1 3, 32.41, 2.762, 98
3 0 2, 36.69, 2.449, 48